(1)
This entry pairs a crystal structure of LaTmB12 with its simulated powder X-ray diffraction pattern. Radiation: Cu Kα X-rays. Structure: DFT lattice parameters and positions (PBE).
Neutral-atom scattering factors, no anomalous dispersion.

Structure:
a b c (Å): 8.239 8.239 8.239
angles (deg): 90.00 90.00 90.00
Space group Fm-3m (No. 225)
Symmetry-distinct sites (fractional):
La  0.000  0.000  0.000
Tm  0.000  0.000  0.500
B  0.100  0.250  0.250

Peak list (6 most intense, 2θ from 10° to 90°, most intense first)
- 2.913 Å, rel. 100.0, hkl 2 2 0
- 4.120 Å, rel. 67.6, hkl 2 0 0
- 1.842 Å, rel. 50.0, hkl 4 2 0
- 2.378 Å, rel. 42.1, hkl 2 2 2
- 1.682 Å, rel. 28.0, hkl 4 2 2
- 1.373 Å, rel. 27.8, hkl 4 4 2

(2)
This entry pairs a crystal structure of LiB3 with its simulated powder X-ray diffraction pattern. Radiation: Cu Kα X-rays. Structure: DFT lattice parameters and positions (PBE).
Neutral-atom scattering factors, no anomalous dispersion.

Structure:
a b c (Å): 4.122 4.122 4.359
angles (deg): 90.00 90.00 90.00
Space group P4/mmm (No. 123)
Symmetry-distinct sites (fractional):
Li  0.000  0.000  0.240
B  0.204  0.500  0.000
B  0.500  0.500  0.298

Peak list (6 most intense, 2θ from 10° to 90°, most intense first)
- 4.359 Å, rel. 100.0, hkl 0 0 1
- 4.122 Å, rel. 75.7, hkl 1 0 0
- 1.745 Å, rel. 22.2, hkl 1 1 2
- 1.698 Å, rel. 18.6, hkl 2 1 1
- 2.915 Å, rel. 18.6, hkl 1 1 0
- 2.061 Å, rel. 16.2, hkl 2 0 0

(3)
This entry pairs a crystal structure of LiB9 with its simulated powder X-ray diffraction pattern. Radiation: Cu Kα X-rays. Structure: DFT lattice parameters and positions (PBE).
Neutral-atom scattering factors, no anomalous dispersion.

Structure:
a b c (Å): 5.7421 5.7421 5.0119
angles (deg): 90.00 90.00 120.00
Space group P6_3cm (No. 185)
Symmetry-distinct sites (fractional):
Li  0.0000  0.0000  0.0000
B  0.0000  0.3715  0.2284
B  0.1692  0.4735  0.8884

Peak list (6 most intense, 2θ from 10° to 90°, most intense first)
- 4.973 Å, rel. 100.0, hkl 1 0 0
- 2.491 Å, rel. 43.9, hkl 1 1 1
- 2.506 Å, rel. 41.6, hkl 0 0 2
- 1.380 Å, rel. 33.3, hkl 2 2 1
- 1.880 Å, rel. 22.6, hkl 2 1 0
- 1.444 Å, rel. 20.1, hkl 1 1 3

(4)
This entry pairs a crystal structure of Li3B with its simulated powder X-ray diffraction pattern. Radiation: Cu Kα X-rays. Structure: DFT lattice parameters and positions (PBE).
Neutral-atom scattering factors, no anomalous dispersion.

Structure:
a b c (Å): 3.925 3.925 5.879
angles (deg): 90.00 90.00 90.00
Space group I4/mmm (No. 139)
Symmetry-distinct sites (fractional):
Li  0.000  0.000  0.000
Li  0.000  0.500  0.250
B  0.000  0.000  0.500

Peak list (6 most intense, 2θ from 10° to 90°, most intense first)
- 2.018 Å, rel. 100.0, hkl 1 1 2
- 1.962 Å, rel. 45.6, hkl 2 0 0
- 1.143 Å, rel. 27.5, hkl 3 1 2
- 1.176 Å, rel. 15.1, hkl 2 0 4
- 1.388 Å, rel. 13.8, hkl 2 2 0
- 3.264 Å, rel. 11.1, hkl 1 0 1

(5)
This entry pairs a crystal structure of Li2B with its simulated powder X-ray diffraction pattern. Radiation: Cu Kα X-rays. Structure: DFT lattice parameters and positions (PBE).
Neutral-atom scattering factors, no anomalous dispersion.

Structure:
a b c (Å): 3.8688 3.8688 2.0527
angles (deg): 90.00 90.00 120.00
Space group P-3m1 (No. 164)
Symmetry-distinct sites (fractional):
Li  0.3333  0.6667  0.4939
B  0.0000  0.0000  0.0000

Peak list (6 most intense, 2θ from 10° to 90°, most intense first)
- 1.934 Å, rel. 100.0, hkl 1 1 0
- 1.750 Å, rel. 69.2, hkl 0 1 1
- 3.350 Å, rel. 23.8, hkl 1 0 0
- 1.298 Å, rel. 23.8, hkl 2 0 1
- 1.117 Å, rel. 14.8, hkl 3 0 0
- 1.408 Å, rel. 3.3, hkl 1 1 1

(6)
This entry pairs a crystal structure of LiB3 with its simulated powder X-ray diffraction pattern. Radiation: Cu Kα X-rays. Structure: DFT lattice parameters and positions (PBE).
Neutral-atom scattering factors, no anomalous dispersion.

Structure:
a b c (Å): 5.981 5.981 4.163
angles (deg): 90.00 90.00 90.00
Space group P4/mbm (No. 127)
Symmetry-distinct sites (fractional):
Li  0.178  0.322  0.000
B  0.000  0.000  0.206
B  0.137  0.840  0.500

Peak list (6 most intense, 2θ from 10° to 90°, most intense first)
- 4.229 Å, rel. 100.0, hkl 1 1 0
- 4.163 Å, rel. 25.9, hkl 0 0 1
- 1.722 Å, rel. 17.1, hkl 3 1 1
- 1.708 Å, rel. 10.3, hkl 2 0 2
- 1.400 Å, rel. 7.2, hkl 3 1 2
- 2.967 Å, rel. 7.0, hkl 1 1 1

(7)
This entry pairs a crystal structure of Li2Lu5B3O13 with its simulated powder X-ray diffraction pattern. Radiation: Cu Kα X-rays. Structure: DFT lattice parameters and positions (PBE).
Neutral-atom scattering factors, no anomalous dispersion.

Structure:
a b c (Å): 10.073 3.498 15.666
angles (deg): 90.00 105.51 90.00
Space group P2_1/m (No. 11)
Symmetry-distinct sites (fractional):
Li  0.113  0.250  0.053
Li  0.253  0.750  0.248
Lu  0.018  0.250  0.302
Lu  0.139  0.250  0.563
Lu  0.314  0.250  0.794
Lu  0.356  0.750  0.999
Lu  0.463  0.750  0.628
B  0.090  0.750  0.889
B  0.286  0.750  0.424
B  0.407  0.250  0.183
O  0.014  0.750  0.568
O  0.042  0.250  0.164
O  0.111  0.250  0.704
O  0.122  0.750  0.980
O  0.176  0.750  0.348
O  0.205  0.750  0.852
O  0.264  0.750  0.508
O  0.331  0.250  0.096
O  0.348  0.250  0.253
O  0.352  0.250  0.654
O  0.419  0.250  0.938
O  0.420  0.750  0.416
O  0.449  0.750  0.793

Peak list (6 most intense, 2θ from 10° to 90°, most intense first)
- 3.126 Å, rel. 100.0, hkl 1 0 -5
- 2.805 Å, rel. 82.2, hkl 2 1 -2
- 2.872 Å, rel. 81.0, hkl 2 1 -1
- 2.646 Å, rel. 64.0, hkl 1 1 3
- 1.831 Å, rel. 42.7, hkl 4 1 2
- 3.103 Å, rel. 41.9, hkl 2 0 3

(8)
This entry pairs a crystal structure of LiMg14B with its simulated powder X-ray diffraction pattern. Radiation: Cu Kα X-rays. Structure: DFT lattice parameters and positions (PBE).
Neutral-atom scattering factors, no anomalous dispersion.

Structure:
a b c (Å): 6.2199 6.2199 10.1581
angles (deg): 90.00 90.00 120.00
Space group P-6m2 (No. 187)
Symmetry-distinct sites (fractional):
Li  0.0000  0.0000  0.0000
Mg  0.0024  0.5012  0.0000
Mg  0.1612  0.3225  0.2589
Mg  0.5019  0.0038  0.5000
Mg  0.6667  0.3333  0.2463
B  0.0000  0.0000  0.5000

Peak list (6 most intense, 2θ from 10° to 90°, most intense first)
- 2.379 Å, rel. 100.0, hkl 2 0 2
- 2.540 Å, rel. 26.5, hkl 0 0 4
- 2.693 Å, rel. 24.7, hkl 2 0 0
- 1.433 Å, rel. 18.6, hkl 2 0 6
- 1.326 Å, rel. 18.3, hkl 2 2 4
- 1.555 Å, rel. 16.6, hkl 2 2 0